Entry 1:
Simulated PXRD pattern
Compound: AcPu2Zn2Sn2
Radiation: Cu Kα (λ = 1.5418 Å)
Structure: a crystal structure in Alexandria, relaxed with PBE
Lines closer than 0.1° are merged.

```
data_AcPu2Zn2Sn2
_chemical_formula_sum 'Ac3 Pu6 Zn6 Sn6'
_symmetry_space_group_name_H-M 'R -3 m'
_symmetry_Int_Tables_number 166
_symmetry_space_group_name_Hall '-R 3 2"'
_cell_length_a 4.7251
_cell_length_b 4.7251
_cell_length_c 28.4597
_cell_angle_alpha 90.00
_cell_angle_beta 90.00
_cell_angle_gamma 120.00
loop_
_atom_site_label
_atom_site_type_symbol
_atom_site_fract_x
_atom_site_fract_y
_atom_site_fract_z
Ac1 Ac 0.0000 0.0000 0.0000
Pu1 Pu 0.0000 0.0000 0.1456
Zn1 Zn 0.0000 0.0000 0.4322
Sn1 Sn 0.0000 0.0000 0.2595
```

Principal peaks in the range 10° ≤ 2θ ≤ 80°, by angle:
(1 0 1), 21.94 deg, rel. 35
(1 0 7), 31.01 deg, rel. 100
(0 1 8), 33.37 deg, rel. 28
(1 1 0), 38.09 deg, rel. 78
(1 0 10), 38.53 deg, rel. 16
(0 2 7), 49.90 deg, rel. 27
(0 1 14), 50.11 deg, rel. 13
(1 1 12), 54.85 deg, rel. 10
(2 1 7), 64.46 deg, rel. 25
(3 0 0), 68.83 deg, rel. 14

Entry 2:
Simulated PXRD pattern
Compound: PmHg4Pd
Radiation: Cu Kα (λ = 1.5418 Å)
Structure: a crystal structure in Alexandria, relaxed with PBE
Lines closer than 0.1° are merged.

```
data_PmHg4Pd
_chemical_formula_sum 'Pm4 Hg16 Pd4'
_symmetry_space_group_name_H-M 'C m c 21'
_symmetry_Int_Tables_number 36
_symmetry_space_group_name_Hall 'C 2c -2'
_cell_length_a 5.0235
_cell_length_b 16.5044
_cell_length_c 6.9565
_cell_angle_alpha 90.00
_cell_angle_beta 90.00
_cell_angle_gamma 90.00
loop_
_atom_site_label
_atom_site_type_symbol
_atom_site_fract_x
_atom_site_fract_y
_atom_site_fract_z
Pm1 Pm 0.0000 0.1695 0.0000
Hg1 Hg 0.0000 0.0249 0.3439
Hg2 Hg 0.0000 0.2042 0.4650
Hg3 Hg 0.0000 0.3595 0.1708
Hg4 Hg 0.0000 0.4637 0.5466
Pd1 Pd 0.0000 0.3203 0.7648
```

Principal peaks in the range 10° ≤ 2θ ≤ 80°, by angle:
(1 1 2), 31.76 deg, rel. 48
(0 6 0), 32.51 deg, rel. 33
(1 5 1), 35.02 deg, rel. 75
(1 3 2), 35.38 deg, rel. 100
(2 0 0), 35.75 deg, rel. 58
(2 6 0), 49.12 deg, rel. 12
(2 6 1), 50.95 deg, rel. 14
(3 3 2), 63.99 deg, rel. 18
(1 11 1), 66.38 deg, rel. 22
(2 8 3), 71.87 deg, rel. 14

Entry 3:
Simulated PXRD pattern
Compound: Pm4PrSe5
Radiation: Cu Kα (λ = 1.5418 Å)
Structure: a crystal structure in Alexandria, relaxed with PBE
Lines closer than 0.1° are merged.

```
data_Pm4PrSe5
_chemical_formula_sum 'Pm12 Pr3 Se15'
_symmetry_space_group_name_H-M 'R -3 m'
_symmetry_Int_Tables_number 166
_symmetry_space_group_name_Hall '-R 3 2"'
_cell_length_a 4.2228
_cell_length_b 4.2228
_cell_length_c 51.2930
_cell_angle_alpha 90.00
_cell_angle_beta 90.00
_cell_angle_gamma 120.00
loop_
_atom_site_label
_atom_site_type_symbol
_atom_site_fract_x
_atom_site_fract_y
_atom_site_fract_z
Pm1 Pm 0.0000 0.0000 0.0993
Pm2 Pm 0.0000 0.0000 0.3003
Pr1 Pr 0.0000 0.0000 0.5000
Se1 Se 0.0000 0.0000 0.0000
Se2 Se 0.0000 0.0000 0.2012
Se3 Se 0.0000 0.0000 0.3995
```

Principal peaks in the range 10° ≤ 2θ ≤ 80°, by angle:
(0 1 5), 25.86 deg, rel. 12
(1 0 10), 30.01 deg, rel. 100
(1 1 0), 42.83 deg, rel. 38
(0 1 20), 43.08 deg, rel. 37
(0 2 10), 53.18 deg, rel. 20
(0 0 30), 53.60 deg, rel. 6
(2 0 20), 62.37 deg, rel. 12
(2 1 10), 70.57 deg, rel. 17
(1 1 30), 70.93 deg, rel. 17
(1 2 20), 78.63 deg, rel. 13

Entry 4:
Simulated PXRD pattern
Compound: BaLiPdO2
Radiation: Cu Kα (λ = 1.5418 Å)
Structure: a crystal structure in Alexandria, relaxed with PBE
Lines closer than 0.1° are merged.

```
data_BaLiPdO2
_chemical_formula_sum 'Ba4 Li4 Pd4 O8'
_symmetry_space_group_name_H-M 'C m m e'
_symmetry_Int_Tables_number 67
_symmetry_space_group_name_Hall '-C 2a 2'
_cell_length_a 5.3489
_cell_length_b 12.1116
_cell_length_c 4.7030
_cell_angle_alpha 90.00
_cell_angle_beta 90.00
_cell_angle_gamma 90.00
loop_
_atom_site_label
_atom_site_type_symbol
_atom_site_fract_x
_atom_site_fract_y
_atom_site_fract_z
Ba1 Ba 0.0000 0.2500 0.2423
Li1 Li 0.0000 0.0000 0.5000
Pd1 Pd 0.2500 0.0000 0.0000
O1 O 0.0000 0.1262 0.7434
```

Principal peaks in the range 10° ≤ 2θ ≤ 80°, by angle:
(0 0 1), 18.87 deg, rel. 53
(0 2 1), 23.96 deg, rel. 48
(1 1 1), 26.28 deg, rel. 90
(0 4 0), 29.50 deg, rel. 66
(1 3 1), 33.72 deg, rel. 100
(2 2 0), 36.74 deg, rel. 91
(0 2 2), 41.18 deg, rel. 72
(1 5 1), 45.40 deg, rel. 42
(2 0 2), 51.77 deg, rel. 42
(2 4 2), 60.72 deg, rel. 43